No. 1
The following is a simulated powder X-ray diffraction pattern of Li3CoPCO7. It was derived from a crystal structure in the Materials Project, relaxed with GGA+U, using a wavelength of 1.5418 Å.

Cell and atoms:
```
Li3CoPCO7
1.0
6.4411 0.0000 0.0000
-0.0658 8.4664 0.0000
-0.0449 -0.9525 9.8877
Li Co P C O
12 4 4 4 28
Direct
0.0000 0.0000 0.0000 Li
0.0014 0.5510 0.2839 Li
0.2219 0.1820 0.2604 Li
0.2256 0.1772 0.7568 Li
0.2578 0.6235 0.0225 Li
0.2602 0.6236 0.4951 Li
0.4911 0.7939 0.2786 Li
0.4941 0.7989 0.7667 Li
0.7471 0.6265 0.4990 Li
0.7680 0.1744 0.7569 Li
0.7774 0.1835 0.2617 Li
0.9995 0.0033 0.4957 Li
0.0020 0.5671 0.7792 Co
0.5000 0.2307 0.9886 Co
0.5007 0.2316 0.4895 Co
0.7450 0.6303 0.0290 Co
0.0007 0.3156 0.5247 P
0.5002 0.4861 0.7508 P
0.5017 0.4903 0.2475 P
0.9978 0.3089 0.0261 P
0.4983 0.9383 0.5360 C
0.5000 0.9382 0.0367 C
0.9916 0.8624 0.2330 C
0.9961 0.8612 0.7334 C
0.9997 0.8305 0.3558 O
0.0022 0.8291 0.8583 O
0.0035 0.4789 0.4720 O
0.1874 0.2088 0.4740 O
0.1867 0.2114 0.9683 O
0.3094 0.5898 0.2905 O
0.3139 0.5910 0.8026 O
0.4903 0.0578 0.1284 O
0.4954 0.7925 0.5661 O
0.4982 0.3197 0.8015 O
0.4976 0.9733 0.4121 O
0.4995 0.3229 0.2978 O
0.5015 0.0560 0.6317 O
0.5029 0.9648 0.9116 O
0.5052 0.7931 0.0741 O
0.5098 0.4678 0.5942 O
0.5118 0.4679 0.0862 O
0.6884 0.5905 0.8122 O
0.6911 0.5934 0.2965 O
0.8111 0.2048 0.9685 O
0.8129 0.2086 0.4716 O
0.9857 0.7466 0.1335 O
0.9892 0.7416 0.6403 O
0.9949 0.0082 0.2004 O
0.9963 0.4774 0.9743 O
0.9982 0.0058 0.7005 O
0.9982 0.3276 0.1814 O
0.9991 0.3334 0.6834 O
```

Top 12 peaks for 2θ = 10–80°, in order of falling intensity:
27.70°, rel. 100; 10.50°, rel. 98; 36.91°, rel. 42; 21.70°, rel. 36; 26.44°, rel. 31; 25.87°, rel. 30; 35.20°, rel. 30; 19.93°, rel. 26; 36.34°, rel. 25; 57.21°, rel. 22; 40.79°, rel. 20; 31.86°, rel. 19

No. 2
The following is a simulated powder X-ray diffraction pattern of Li3CoPCO7. It was derived from a crystal structure in the Materials Project, relaxed with GGA+U, using a wavelength of 1.5418 Å.

Cell and atoms:
```
Li3CoPCO7
1.0
9.4489 0.0000 0.0000
0.0000 6.3921 0.0000
-4.1757 0.0000 8.7912
Li Co P C O
12 4 4 4 28
Direct
0.1077 0.2414 0.4427 Li
0.1077 0.2586 0.9427 Li
0.2817 0.5007 0.2637 Li
0.2817 0.9993 0.7637 Li
0.3550 0.7471 0.0655 Li
0.3550 0.7529 0.5655 Li
0.6450 0.2471 0.4345 Li
0.6450 0.2529 0.9345 Li
0.7183 0.0007 0.2363 Li
0.7183 0.4993 0.7363 Li
0.8923 0.7414 0.0573 Li
0.8923 0.7586 0.5573 Li
0.2653 0.0077 0.2588 Co
0.2653 0.4923 0.7588 Co
0.7347 0.5077 0.2412 Co
0.7347 0.9923 0.7412 Co
0.4084 0.2416 0.5660 P
0.4084 0.2584 0.0660 P
0.5916 0.7416 0.9340 P
0.5916 0.7584 0.4340 P
0.0431 0.7403 0.3714 C
0.0431 0.7597 0.8714 C
0.9569 0.2403 0.1286 C
0.9569 0.2597 0.6286 C
0.0664 0.7350 0.5106 O
0.0664 0.7650 0.0106 O
0.1024 0.2316 0.2382 O
0.1024 0.2684 0.7382 O
0.1575 0.7461 0.8318 O
0.1575 0.7539 0.3318 O
0.3059 0.0576 0.5726 O
0.3059 0.4424 0.0726 O
0.3164 0.0585 0.0730 O
0.3164 0.4415 0.5730 O
0.4182 0.2375 0.4092 O
0.4182 0.2625 0.9092 O
0.4231 0.7408 0.8049 O
0.4231 0.7592 0.3049 O
0.5769 0.2408 0.6951 O
0.5769 0.2592 0.1951 O
0.5818 0.7375 0.0908 O
0.5818 0.7625 0.5908 O
0.6836 0.5585 0.4270 O
0.6836 0.9415 0.9270 O
0.6941 0.5576 0.9274 O
0.6941 0.9424 0.4274 O
0.8425 0.2461 0.6682 O
0.8425 0.2539 0.1682 O
0.8976 0.7316 0.2618 O
0.8976 0.7684 0.7618 O
0.9336 0.2350 0.9894 O
0.9336 0.2650 0.4894 O
```

Top 12 peaks for 2θ = 10–80°, in order of falling intensity:
35.07°, rel. 100; 17.67°, rel. 99; 22.24°, rel. 44; 26.04°, rel. 35; 10.36°, rel. 29; 24.58°, rel. 27; 25.09°, rel. 24; 31.02°, rel. 21; 37.12°, rel. 21; 53.56°, rel. 21; 51.50°, rel. 21; 57.68°, rel. 20

No. 3
The following is a simulated powder X-ray diffraction pattern of Li12VCo3P4C4O28. It was derived from a crystal structure in the Materials Project, relaxed with GGA+U, using a wavelength of 1.5418 Å.

Cell and atoms:
```
Li12VCo3P4C4O28
1.0
8.4479 0.0000 0.0000
0.0000 6.5159 0.0000
-0.9189 0.0000 9.9566
Li V Co P C O
12 1 3 4 4 28
Direct
0.0000 0.0000 0.0000 Li
0.0013 0.0000 0.5000 Li
0.1795 0.2264 0.2564 Li
0.1787 0.2272 0.7601 Li
0.1787 0.7728 0.7601 Li
0.1795 0.7736 0.2564 Li
0.6247 0.2688 0.5097 Li
0.6253 0.2707 0.0102 Li
0.6253 0.7293 0.0102 Li
0.6247 0.7312 0.5097 Li
0.8021 0.5000 0.7686 Li
0.8043 0.5000 0.2692 Li
0.2304 0.5000 0.4882 V
0.2333 0.5000 0.9897 Co
0.5699 0.0000 0.2790 Co
0.5700 0.0000 0.7781 Co
0.3138 0.0000 0.5232 P
0.3147 0.0000 0.0228 P
0.4892 0.5000 0.7453 P
0.4903 0.5000 0.2449 P
0.8647 0.0000 0.2335 C
0.8646 0.0000 0.7338 C
0.9359 0.5000 0.5364 C
0.9392 0.5000 0.0350 C
0.0106 0.0000 0.2026 O
0.0107 0.0000 0.7029 O
0.0514 0.5000 0.6324 O
0.0564 0.5000 0.1299 O
0.2081 0.1831 0.4699 O
0.2081 0.8169 0.4699 O
0.2101 0.1864 0.9717 O
0.2101 0.8136 0.9717 O
0.3234 0.5000 0.2961 O
0.3228 0.5000 0.7982 O
0.3356 0.0000 0.1800 O
0.3360 0.0000 0.6804 O
0.4683 0.5000 0.0881 O
0.4706 0.5000 0.5886 O
0.4805 0.0000 0.4713 O
0.4809 0.0000 0.9706 O
0.5927 0.3130 0.7967 O
0.5927 0.6870 0.7967 O
0.5942 0.3135 0.2969 O
0.5942 0.6865 0.2969 O
0.7474 0.0000 0.6390 O
0.7475 0.0000 0.1388 O
0.7899 0.5000 0.5644 O
0.7931 0.5000 0.0658 O
0.8293 0.0000 0.3568 O
0.8295 0.0000 0.8569 O
0.9742 0.5000 0.4132 O
0.9744 0.5000 0.9120 O
```

Top 12 peaks for 2θ = 10–80°, in order of falling intensity:
27.38°, rel. 100; 10.52°, rel. 79; 21.56°, rel. 50; 19.87°, rel. 38; 26.46°, rel. 33; 36.70°, rel. 27; 17.21°, rel. 25; 25.57°, rel. 22; 40.78°, rel. 22; 56.48°, rel. 20; 43.01°, rel. 18; 36.08°, rel. 18